1.
Diffraction record for YbPrO3. The powder diffractogram is calculated, not measured: it uses a cell relaxed with GGA-PBE and a wavelength of 1.5418 Å.
No peak broadening, texture or thermal motion is included.

Structural model:
abc: 6.0697 8.5572 5.8149
angles: 90.00 90.00 90.00
Positions (direct):
Yb (0.0000, 0.0000, 0.0000)
Yb (0.0000, 0.5000, 0.0000)
Yb (0.5000, 0.0000, 0.5000)
Yb (0.5000, 0.5000, 0.5000)
Pr (0.0558, 0.2500, 0.4780)
Pr (0.4442, 0.7500, 0.9780)
Pr (0.5558, 0.2500, 0.0220)
Pr (0.9442, 0.7500, 0.5220)
O (0.0629, 0.7500, 0.1350)
O (0.1984, 0.5738, 0.6969)
O (0.1984, 0.9262, 0.6969)
O (0.3016, 0.0738, 0.1969)
O (0.3016, 0.4262, 0.1969)
O (0.4371, 0.2500, 0.6350)
O (0.5629, 0.7500, 0.3650)
O (0.6984, 0.5738, 0.8031)
O (0.6984, 0.9262, 0.8031)
O (0.8016, 0.0738, 0.3031)
O (0.8016, 0.4262, 0.3031)
O (0.9371, 0.2500, 0.8650)

Most intense lines, 2θ from 10° to 80°, low angle first:
d_spacing  Rel. int.
3.035  21
2.997  100
2.907  21
2.139  12
2.099  19
1.749  11
1.745  14
1.723  12
1.695  21
1.498  11
1.350  9
1.330  7


2.
Diffraction record for Pr3Zn2O6. The powder diffractogram is calculated, not measured: it uses a cell relaxed with GGA-PBE and a wavelength of 1.5418 Å.
No peak broadening, texture or thermal motion is included.

Structural model:
abc: 10.0788 10.0788 10.0788
angles: 157.21 157.21 32.45
Positions (direct):
Pr (0.0000, 0.0000, 0.0000)
Pr (0.1764, 0.1764, 0.0000)
Pr (0.8236, 0.8236, 0.0000)
Zn (0.4099, 0.4099, 0.0000)
Zn (0.5901, 0.5901, 0.0000)
O (0.0892, 0.5892, 0.5000)
O (0.2944, 0.2944, 0.0000)
O (0.4108, 0.9108, 0.5000)
O (0.5892, 0.0892, 0.5000)
O (0.7056, 0.7056, 0.0000)
O (0.9108, 0.4108, 0.5000)

Most intense lines, 2θ from 10° to 80°, low angle first:
d_spacing  Rel. int.
3.901  22
2.816  72
2.776  100
2.271  24
2.121  25
1.991  40
1.618  40
1.497  12
1.408  12
1.400  10
1.259  12
1.253  10


3.
Diffraction record for Pr3ZrO6. The powder diffractogram is calculated, not measured: it uses a cell relaxed with GGA-PBE and a wavelength of 1.5418 Å.
No peak broadening, texture or thermal motion is included.

Structural model:
abc: 7.5034 7.5034 5.7926
angles: 90.00 90.00 100.10
Positions (direct):
Pr (0.1036, 0.8964, 0.5000)
Pr (0.1941, 0.4062, 0.5479)
Pr (0.4062, 0.1941, 0.0479)
Pr (0.5938, 0.8059, 0.5479)
Pr (0.8059, 0.5938, 0.0479)
Pr (0.8964, 0.1036, 0.0000)
Zr (0.3415, 0.6585, 0.0638)
Zr (0.6585, 0.3415, 0.5638)
O (0.1014, 0.5998, 0.2370)
O (0.1397, 0.1672, 0.2758)
O (0.1672, 0.1397, 0.7758)
O (0.2811, 0.7189, 0.7310)
O (0.4002, 0.8986, 0.2370)
O (0.4852, 0.5148, 0.3262)
O (0.5148, 0.4852, 0.8262)
O (0.5998, 0.1014, 0.7370)
O (0.7189, 0.2811, 0.2310)
O (0.8328, 0.8603, 0.2758)
O (0.8603, 0.8328, 0.7758)
O (0.8986, 0.4002, 0.7370)

Most intense lines, 2θ from 10° to 80°, low angle first:
d_spacing  Rel. int.
3.114  100
3.094  9
3.035  19
2.896  18
2.876  12
2.114  14
2.041  19
1.870  13
1.711  15
1.703  8
1.651  11
1.571  8